For Pm5HoSc2, a DFT-relaxed cell (GGA-PBE, Alexandria) gives the computed X-ray powder pattern in this record (CuKα).
Neutral-atom scattering factors, no anomalous dispersion.

Most intense lines, 10 to 90 degrees two-theta, low angle first:
2θ/deg	I/Imax	(hkl)
23.13	23	2 1 1
27.92	17	2 2 0
30.87	100	2 1 3
31.29	86	3 1 0
31.96	29	1 1 4
34.98	21	2 0 4
44.84	15	4 2 0
46.86	11	4 1 3
49.85	15	4 0 4
52.00	14	3 3 4
59.39	24	5 2 3
81.01	10	7 3 0

Atomic structure:
Unit cell a=9.0394 b=9.0394 c=12.4609 alpha=90.00 beta=90.00 gamma=90.00
Space group I4/mcm (No. 140)
Asymmetric unit:
Pm 0.0000 0.0000 0.0000 x4
Pm 0.1493 0.3507 0.1595 x16
Ho 0.0000 0.0000 0.2500 x4
Sc 0.1472 0.3528 0.5000 x8


For PmHo6Sc12, a DFT-relaxed cell (GGA-PBE, Alexandria) gives the computed X-ray powder pattern in this record (CuKα).
Neutral-atom scattering factors, no anomalous dispersion.

Most intense lines, 10 to 90 degrees two-theta, low angle first:
2θ/deg	I/Imax	(hkl)
13.86	36	1 1 0
17.23	45	0 1 2
22.18	57	2 0 2
26.25	29	1 2 2
27.94	100	2 2 0
30.12	50	1 3 1
33.01	40	3 1 2
34.87	74	0 2 4
35.96	58	0 4 2
36.45	32	2 2 3
38.71	30	2 3 2
46.14	41	4 2 2

Atomic structure:
Unit cell a=12.7746 b=12.7746 c=11.6276 alpha=90.00 beta=90.00 gamma=120.00
Space group R-3m (No. 166, hexagonal axes)
Asymmetric unit:
Pm 0.0000 0.0000 0.0000 x3
Ho 0.0106 0.5053 0.7272 x18
Sc 0.0000 0.3854 0.5000 x18
Sc 0.0968 0.1937 0.3592 x18


For Pm3Ho4Sc5, a DFT-relaxed cell (GGA-PBE, Alexandria) gives the computed X-ray powder pattern in this record (CuKα).
Neutral-atom scattering factors, no anomalous dispersion.

Most intense lines, 10 to 90 degrees two-theta, low angle first:
2θ/deg	I/Imax	(hkl)
21.96	35	1 1 1
23.33	41	4 0 -1
25.48	33	3 1 0
30.46	87	4 0 -3
31.16	51	2 0 2
31.33	100	0 2 0
32.92	56	3 1 -3
33.55	60	5 1 -2
33.67	63	5 1 -1
34.24	65	1 1 -3
44.25	33	4 2 -3
44.77	40	2 2 2

Atomic structure:
Unit cell a=15.3464 b=5.7103 c=9.3561 alpha=90.00 beta=120.18 gamma=90.00
Space group C2/m (No. 12)
Asymmetric unit:
Pm 0.0000 0.0000 0.0000 x2
Pm 0.2316 0.5000 0.2667 x4
Ho 0.0857 0.5000 0.4439 x4
Ho 0.2048 0.5000 0.8813 x4
Sc 0.0000 0.5000 0.0000 x2
Sc 0.0596 0.0000 0.6978 x4
Sc 0.1657 0.0000 0.3564 x4


For Pm5Ho12Sc2, a DFT-relaxed cell (GGA-PBE, Alexandria) gives the computed X-ray powder pattern in this record (CuKα).
Neutral-atom scattering factors, no anomalous dispersion.

Most intense lines, 10 to 90 degrees two-theta, low angle first:
2θ/deg	I/Imax	(hkl)
26.89	32	2 2 0
28.82	36	4 0 -3
29.35	45	0 0 3
30.01	71	2 2 1
30.90	26	2 2 -2
31.45	91	6 0 0
31.63	100	0 2 2
32.55	58	4 2 0
33.96	31	6 0 -3
34.88	26	2 0 3
50.75	27	0 4 0
60.92	32	6 4 0

Atomic structure:
Unit cell a=18.4622 b=7.1962 c=9.8735 alpha=90.00 beta=112.41 gamma=90.00
Space group C2/m (No. 12)
Asymmetric unit:
Pm 0.0000 0.0000 0.0000 x2
Pm 0.1810 0.5000 0.7052 x4
Pm 0.1879 0.0000 0.6927 x4
Ho 0.0019 0.5000 0.8143 x4
Ho 0.0144 0.0000 0.7147 x4
Ho 0.1577 0.2485 0.3634 x8
Ho 0.1613 0.2476 0.0062 x8
Sc 0.0000 0.3029 0.5000 x4